Simulated powder diffractogram of LiHoCu2Si2 for Cu Kα, 1.54184 Å, from DFT lattice parameters and positions (GGA-PBE).

Atomic structure:
Lattice parameters (Å, degrees): 4.072 4.072 6.500 90.00 90.00 120.00
Fractional positions:
Li: 0.000 0.000 0.000
Ho: 0.000 0.000 0.500
Cu: 0.333 0.667 0.174
Cu: 0.667 0.333 0.826
Si: 0.333 0.667 0.783
Si: 0.667 0.333 0.217

The 6 most intense peaks (10 to 80 degrees two-theta), most intense first:
Position (°2θ)  d (Å)  intensity
28.80  3.100  100.0
37.64  2.390  71.9
44.50  2.036  48.1
62.61  1.484  27.5
59.66  1.550  18.3
53.87  1.702  17.3

=====

Simulated powder diffractogram of Ho2MgCu9 for Cu Kα, 1.54184 Å, from DFT lattice parameters and positions (GGA-PBE).

Atomic structure:
Lattice parameters (Å, degrees): 8.772 8.772 8.772 33.66 33.66 33.66
Fractional positions:
Ho: 0.137 0.137 0.137
Ho: 0.863 0.863 0.863
Mg: 0.000 0.000 0.000
Cu: 0.080 0.582 0.582
Cu: 0.333 0.333 0.333
Cu: 0.418 0.418 0.920
Cu: 0.418 0.920 0.418
Cu: 0.500 0.500 0.500
Cu: 0.582 0.080 0.582
Cu: 0.582 0.582 0.080
Cu: 0.667 0.667 0.667
Cu: 0.920 0.418 0.418

The 6 most intense peaks (10 to 80 degrees two-theta), most intense first:
Position (°2θ)  d (Å)  intensity
41.74  2.164  100.0
35.38  2.537  88.8
45.09  2.011  49.3
45.19  2.006  42.9
10.70  8.267  42.3
41.20  2.191  39.2

=====

Simulated powder diffractogram of HoMg2Cu2 for Cu Kα, 1.54184 Å, from DFT lattice parameters and positions (GGA-PBE).

Atomic structure:
Lattice parameters (Å, degrees): 6.765 6.765 8.326 90.00 90.00 148.58
Fractional positions:
Ho: 0.083 0.917 0.500
Ho: 0.917 0.083 0.000
Mg: 0.194 0.806 0.118
Mg: 0.379 0.621 0.354
Mg: 0.621 0.379 0.854
Mg: 0.806 0.194 0.618
Cu: 0.277 0.723 0.837
Cu: 0.448 0.552 0.694
Cu: 0.552 0.448 0.194
Cu: 0.723 0.277 0.337

The 6 most intense peaks (10 to 80 degrees two-theta), most intense first:
Position (°2θ)  d (Å)  intensity
33.78  2.654  100.0
33.30  2.691  76.6
17.29  5.130  65.8
35.15  2.553  28.7
42.81  2.112  26.3
25.39  3.508  18.9

=====

Simulated powder diffractogram of Ho4MgCu3 for Cu Kα, 1.54184 Å, from DFT lattice parameters and positions (GGA-PBE).

Atomic structure:
Lattice parameters (Å, degrees): 3.527 5.007 9.924 90.00 90.00 90.00
Fractional positions:
Ho: 0.000 0.000 0.000
Ho: 0.000 0.000 0.500
Ho: 0.000 0.500 0.235
Ho: 0.000 0.500 0.765
Mg: 0.500 0.500 0.500
Cu: 0.500 0.000 0.260
Cu: 0.500 0.000 0.740
Cu: 0.500 0.500 0.000

The 6 most intense peaks (10 to 80 degrees two-theta), most intense first:
Position (°2θ)  d (Å)  intensity
36.03  2.493  100.0
25.26  3.525  41.1
64.59  1.443  26.9
35.87  2.504  25.7
51.87  1.763  25.5
36.21  2.481  23.5